The following is a theoretical X-ray powder pattern of Tb4MgW2O12. It was derived from a structure optimized by DFT (GGA+U), using Cu Kα (weighted mean of Kα1 and Kα2).
No peak broadening, texture or thermal motion is included.

Cell and atoms:
Lattice parameters (Å, degrees): 5.4771 5.7406 8.3205 86.80 89.64 88.89
Element x y z (fractional)
Tb: 0.0000 0.0000 0.0000
Tb: 0.0497 0.4869 0.2667
Tb: 0.4992 0.9819 0.2707
Tb: 0.5536 0.4850 0.0106
Mg: 0.5164 0.8877 0.7483
W: 0.0137 0.7950 0.6201
W: 0.5499 0.3375 0.6111
O: 0.1756 0.8128 0.4222
O: 0.1870 0.0371 0.7359
O: 0.2726 0.2366 0.1102
O: 0.2794 0.7421 0.0993
O: 0.3440 0.5906 0.7113
O: 0.3614 0.3116 0.4294
O: 0.6458 0.2051 0.8211
O: 0.7104 0.9971 0.5434
O: 0.7711 0.7413 0.1565
O: 0.7798 0.2386 0.1631
O: 0.8240 0.7187 0.8198
O: 0.8308 0.5052 0.5233

The 6 most intense peaks (2θ = 5–70°), low angle first:
2θ = 25.13°, d = 3.543 Å, intensity 100; 2θ = 25.45°, d = 3.500 Å, intensity 100; 2θ = 30.36°, d = 2.944 Å, intensity 93; 2θ = 30.81°, d = 2.902 Å, intensity 90; 2θ = 32.33°, d = 2.769 Å, intensity 43; 2θ = 32.71°, d = 2.738 Å, intensity 61

---

The following is a theoretical X-ray powder pattern of MnC5BrO5. It was derived from a structure optimized by DFT (GGA+U), using Cu Kα (weighted mean of Kα1 and Kα2).
No peak broadening, texture or thermal motion is included.

Cell and atoms:
Lattice parameters (Å, degrees): 11.8418 11.4692 6.1652 90.00 90.00 90.00
Element x y z (fractional)
Mn: 0.1196 0.2500 0.0506
Mn: 0.3804 0.7500 0.5506
Mn: 0.6196 0.2500 0.4494
Mn: 0.8804 0.7500 0.9494
C: 0.0278 0.2500 0.8096
C: 0.0343 0.1317 0.1866
C: 0.0343 0.3683 0.1866
C: 0.2161 0.1339 0.9352
C: 0.2161 0.3661 0.9352
C: 0.2839 0.6339 0.4352
C: 0.2839 0.8661 0.4352
C: 0.4657 0.6317 0.6866
C: 0.4657 0.8683 0.6866
C: 0.4722 0.7500 0.3096
C: 0.5278 0.2500 0.6904
C: 0.5343 0.1317 0.3134
C: 0.5343 0.3683 0.3134
C: 0.7161 0.1339 0.5648
C: 0.7161 0.3661 0.5648
C: 0.7839 0.6339 0.0648
C: 0.7839 0.8661 0.0648
C: 0.9657 0.6317 0.8134
C: 0.9657 0.8683 0.8134
C: 0.9722 0.7500 0.1904
Br: 0.2475 0.2500 0.3850
Br: 0.2525 0.7500 0.8850
Br: 0.7475 0.2500 0.1150
Br: 0.7525 0.7500 0.6150
O: 0.0156 0.5566 0.7348
O: 0.0156 0.9434 0.7348
O: 0.0310 0.7500 0.3402
O: 0.2250 0.5633 0.3667
O: 0.2250 0.9367 0.3667
O: 0.2750 0.0633 0.8667
O: 0.2750 0.4367 0.8667
O: 0.4690 0.2500 0.8402
O: 0.4844 0.0566 0.2348
O: 0.4844 0.4434 0.2348
O: 0.5156 0.5566 0.7652
O: 0.5156 0.9434 0.7652
O: 0.5310 0.7500 0.1598
O: 0.7250 0.5633 0.1333
O: 0.7250 0.9367 0.1333
O: 0.7750 0.0633 0.6333
O: 0.7750 0.4367 0.6333
O: 0.9690 0.2500 0.6598
O: 0.9844 0.0566 0.2652
O: 0.9844 0.4434 0.2652

The 6 most intense peaks (2θ = 5–70°), low angle first:
2θ = 15.45°, d = 5.735 Å, intensity 100; 2θ = 16.32°, d = 5.430 Å, intensity 38; 2θ = 16.85°, d = 5.261 Å, intensity 48; 2θ = 27.94°, d = 3.193 Å, intensity 56; 2θ = 31.41°, d = 2.848 Å, intensity 97; 2θ = 35.79°, d = 2.509 Å, intensity 58

---

The following is a theoretical X-ray powder pattern of Li9Mn2Co5O16. It was derived from a structure optimized by DFT (GGA+U), using Cu Kα (weighted mean of Kα1 and Kα2).
No peak broadening, texture or thermal motion is included.

Cell and atoms:
Lattice parameters (Å, degrees): 5.1585 7.6949 7.7581 94.45 108.94 96.48
Element x y z (fractional)
Li: 0.0000 0.0000 0.0000
Li: 0.0633 0.6843 0.5641
Li: 0.1830 0.0629 0.6960
Li: 0.3137 0.4391 0.8121
Li: 0.4295 0.8170 0.9320
Li: 0.5570 0.1852 0.0537
Li: 0.6885 0.5633 0.1817
Li: 0.8111 0.9407 0.3026
Li: 0.9354 0.3103 0.4358
Mn: 0.2448 0.7525 0.2449
Mn: 0.3683 0.1242 0.3700
Co: 0.1209 0.3650 0.1140
Co: 0.4969 0.5019 0.5019
Co: 0.6318 0.8804 0.6336
Co: 0.7523 0.2511 0.7510
Co: 0.8786 0.6331 0.8755
O: 0.0010 0.1619 0.2274
O: 0.0096 0.8321 0.7744
O: 0.1108 0.5400 0.3314
O: 0.1482 0.2312 0.9090
O: 0.2271 0.9098 0.4507
O: 0.2751 0.6057 0.0429
O: 0.3517 0.2750 0.5786
O: 0.3986 0.9666 0.1727
O: 0.4776 0.6521 0.7123
O: 0.5143 0.3352 0.2901
O: 0.5932 0.0336 0.8261
O: 0.6216 0.7211 0.4077
O: 0.7337 0.4097 0.9636
O: 0.7484 0.0941 0.5251
O: 0.8747 0.7757 0.1001
O: 0.8857 0.4606 0.6573

The 6 most intense peaks (2θ = 5–70°), low angle first:
2θ = 18.32°, d = 4.843 Å, intensity 100; 2θ = 36.17°, d = 2.483 Å, intensity 26; 2θ = 42.98°, d = 2.104 Å, intensity 29; 2θ = 43.78°, d = 2.068 Å, intensity 27; 2θ = 43.89°, d = 2.063 Å, intensity 27; 2θ = 63.28°, d = 1.470 Å, intensity 15

---

The following is a theoretical X-ray powder pattern of Mn2Sb2O7. It was derived from a structure optimized by DFT (GGA+U), using Cu Kα (weighted mean of Kα1 and Kα2).
No peak broadening, texture or thermal motion is included.

Cell and atoms:
Lattice parameters (Å, degrees): 7.2814 7.2814 7.2814 60.00 60.00 60.00
Element x y z (fractional)
Mn: 0.0000 0.0000 0.0000
Mn: 0.0000 0.0000 0.5000
Mn: 0.0000 0.5000 0.0000
Mn: 0.5000 0.0000 0.0000
Sb: 0.0000 0.5000 0.5000
Sb: 0.5000 0.0000 0.5000
Sb: 0.5000 0.5000 0.0000
Sb: 0.5000 0.5000 0.5000
O: 0.1250 0.1250 0.1250
O: 0.1723 0.1723 0.5777
O: 0.1723 0.5777 0.1723
O: 0.1723 0.5777 0.5777
O: 0.4223 0.4223 0.8277
O: 0.4223 0.8277 0.4223
O: 0.4223 0.8277 0.8277
O: 0.5777 0.1723 0.1723
O: 0.5777 0.1723 0.5777
O: 0.5777 0.5777 0.1723
O: 0.8277 0.4223 0.4223
O: 0.8277 0.4223 0.8277
O: 0.8277 0.8277 0.4223
O: 0.8750 0.8750 0.8750

The 6 most intense peaks (2θ = 5–70°), low angle first:
2θ = 14.90°, d = 5.945 Å, intensity 23; 2θ = 28.75°, d = 3.105 Å, intensity 18; 2θ = 30.06°, d = 2.973 Å, intensity 100; 2θ = 34.85°, d = 2.574 Å, intensity 27; 2θ = 50.11°, d = 1.820 Å, intensity 49; 2θ = 59.55°, d = 1.552 Å, intensity 40

---

The following is a theoretical X-ray powder pattern of NaNdMn4O12. It was derived from a structure optimized by DFT (GGA+U), using Cu Kα (weighted mean of Kα1 and Kα2).
No peak broadening, texture or thermal motion is included.

Cell and atoms:
Lattice parameters (Å, degrees): 5.3203 5.3203 7.7842 90.00 90.00 90.00
Element x y z (fractional)
Na: 0.0000 0.0000 0.0000
Nd: 0.5000 0.5000 0.5000
Mn: 0.0000 0.5000 0.2377
Mn: 0.0000 0.5000 0.7623
Mn: 0.5000 0.0000 0.2377
Mn: 0.5000 0.0000 0.7623
O: 0.0000 0.5000 0.0000
O: 0.0000 0.5000 0.5000
O: 0.2582 0.2582 0.2706
O: 0.2582 0.2582 0.7294
O: 0.2582 0.7418 0.2706
O: 0.2582 0.7418 0.7294
O: 0.5000 0.0000 0.0000
O: 0.5000 0.0000 0.5000
O: 0.7418 0.2582 0.2706
O: 0.7418 0.2582 0.7294
O: 0.7418 0.7418 0.2706
O: 0.7418 0.7418 0.7294

The 6 most intense peaks (2θ = 5–70°), low angle first:
2θ = 11.37°, d = 7.784 Å, intensity 43; 2θ = 16.66°, d = 5.320 Å, intensity 41; 2θ = 20.22°, d = 4.392 Å, intensity 95; 2θ = 33.12°, d = 2.705 Å, intensity 100; 2θ = 33.69°, d = 2.660 Å, intensity 49; 2θ = 48.39°, d = 1.881 Å, intensity 52

---

The following is a theoretical X-ray powder pattern of EuCoO3. It was derived from a structure optimized by DFT (GGA+U), using Cu Kα (weighted mean of Kα1 and Kα2).
No peak broadening, texture or thermal motion is included.

Cell and atoms:
Lattice parameters (Å, degrees): 5.4673 7.6646 5.3619 90.00 90.00 90.00
Element x y z (fractional)
Eu: 0.0484 0.2500 0.0100
Eu: 0.4516 0.7500 0.5100
Eu: 0.5484 0.2500 0.4900
Eu: 0.9516 0.7500 0.9900
Co: 0.0000 0.0000 0.5000
Co: 0.0000 0.5000 0.5000
Co: 0.5000 0.0000 0.0000
Co: 0.5000 0.5000 0.0000
O: 0.0146 0.7500 0.4268
O: 0.2040 0.5387 0.7934
O: 0.2040 0.9613 0.7934
O: 0.2960 0.0387 0.2934
O: 0.2960 0.4613 0.2934
O: 0.4854 0.2500 0.9268
O: 0.5146 0.7500 0.0732
O: 0.7040 0.5387 0.7066
O: 0.7040 0.9613 0.7066
O: 0.7960 0.0387 0.2066
O: 0.7960 0.4613 0.2066
O: 0.9854 0.2500 0.5732

The 6 most intense peaks (2θ = 5–70°), low angle first:
2θ = 23.23°, d = 3.830 Å, intensity 25; 2θ = 32.76°, d = 2.734 Å, intensity 22; 2θ = 33.07°, d = 2.708 Å, intensity 100; 2θ = 33.42°, d = 2.681 Å, intensity 26; 2θ = 47.48°, d = 1.915 Å, intensity 38; 2θ = 59.52°, d = 1.553 Å, intensity 21

---

The following is a theoretical X-ray powder pattern of YTlMo2O8. It was derived from a structure optimized by DFT (GGA+U), using Cu Kα (weighted mean of Kα1 and Kα2).
No peak broadening, texture or thermal motion is included.

Cell and atoms:
Lattice parameters (Å, degrees): 15.5329 6.1355 9.1636 90.00 90.00 90.00
Element x y z (fractional)
Y: 0.1058 0.2500 0.1954
Y: 0.3942 0.7500 0.6954
Y: 0.6058 0.2500 0.3046
Y: 0.8942 0.7500 0.8046
Tl: 0.1258 0.7500 0.5606
Tl: 0.3743 0.2500 0.0606
Tl: 0.6258 0.7500 0.9394
Tl: 0.8742 0.2500 0.4394
Mo: 0.0397 0.2500 0.7810
Mo: 0.2158 0.7500 0.9944
Mo: 0.2842 0.2500 0.4944
Mo: 0.4603 0.7500 0.2810
Mo: 0.5397 0.2500 0.7190
Mo: 0.7158 0.7500 0.5056
Mo: 0.7842 0.2500 0.0056
Mo: 0.9603 0.7500 0.2190
O: 0.0161 0.5104 0.2914
O: 0.0161 0.9896 0.2914
O: 0.0371 0.2500 0.9766
O: 0.1413 0.7500 0.8510
O: 0.1464 0.2500 0.7203
O: 0.1788 0.2500 0.4084
O: 0.1966 0.5044 0.1003
O: 0.1966 0.9956 0.1003
O: 0.3034 0.0044 0.6003
O: 0.3034 0.4956 0.6003
O: 0.3212 0.7500 0.9084
O: 0.3536 0.7500 0.2203
O: 0.3587 0.2500 0.3510
O: 0.4629 0.7500 0.4766
O: 0.4839 0.0104 0.7914
O: 0.4839 0.4896 0.7914
O: 0.5161 0.5104 0.2086
O: 0.5161 0.9896 0.2086
O: 0.5371 0.2500 0.5234
O: 0.6413 0.7500 0.6490
O: 0.6464 0.2500 0.7797
O: 0.6788 0.2500 0.0916
O: 0.6966 0.5044 0.3997
O: 0.6966 0.9956 0.3997
O: 0.8034 0.0044 0.8997
O: 0.8034 0.4956 0.8997
O: 0.8212 0.7500 0.5916
O: 0.8536 0.7500 0.2797
O: 0.8587 0.2500 0.1490
O: 0.9629 0.7500 0.0234
O: 0.9839 0.0104 0.7086
O: 0.9839 0.4896 0.7086

The 6 most intense peaks (2θ = 5–70°), low angle first:
2θ = 22.53°, d = 3.946 Å, intensity 40; 2θ = 24.50°, d = 3.633 Å, intensity 96; 2θ = 26.86°, d = 3.319 Å, intensity 100; 2θ = 28.90°, d = 3.089 Å, intensity 40; 2θ = 29.11°, d = 3.068 Å, intensity 56; 2θ = 50.25°, d = 1.816 Å, intensity 23